Theoretical PXRD pattern
Compound: AsPt
Radiation: Cu Kα (λ = 1.5418 Å)
Structure: a DFT-relaxed cell (PBE, Alexandria)

Largest 6 diffraction maxima, by angle, 10° ≤ 2θ ≤ 80°:
(0 2 0), 2θ 13.16, rel. 100; (1 3 0), 2θ 32.26, rel. 21; (1 1 1), 2θ 37.55, rel. 97; (0 4 1), 2θ 37.84, rel. 37; (1 5 0), 2θ 42.21, rel. 41; (0 6 1), 2θ 48.82, rel. 22

Cell and atoms:
Unit cell a=3.5318 b=13.4593 c=3.3596 alpha=90.00 beta=90.00 gamma=90.00
Space group Cmcm (No. 63)
One atom of each set of equivalent atoms:
As1 0.0000 0.1180 0.2500 [4 per cell]
Pt1 0.0000 0.3096 0.2500 [4 per cell]

Theoretical PXRD pattern
Compound: SrAcAg2S4
Radiation: Cu Kα (λ = 1.5418 Å)
Structure: a DFT-relaxed cell (PBE, Alexandria)

Largest 6 diffraction maxima, by angle, 10° ≤ 2θ ≤ 80°:
(2 0 0), 2θ 25.16, rel. 39; (1 1 2), 2θ 29.10, rel. 100; (2 2 0), 2θ 35.88, rel. 45; (0 0 4), 2θ 46.84, rel. 64; (2 2 4), 2θ 60.35, rel. 31; (4 0 4), 2θ 72.26, rel. 26

Cell and atoms:
Unit cell a=7.0785 b=7.0785 c=7.7668 alpha=90.00 beta=90.00 gamma=90.00
Space group I-42m (No. 121)
One atom of each set of equivalent atoms:
Sr1 0.0000 0.0000 0.0000 [2 per cell]
Ac1 0.0000 0.0000 0.5000 [2 per cell]
Ag1 0.0000 0.5000 0.2500 [4 per cell]
S1 0.2484 0.2484 0.7500 [8 per cell]

Theoretical PXRD pattern
Compound: Y2TmSc5
Radiation: Cu Kα (λ = 1.5418 Å)
Structure: a DFT-relaxed cell (PBE, Alexandria)

Largest 6 diffraction maxima, by angle, 10° ≤ 2θ ≤ 80°:
(1 0 1), 2θ 16.11, rel. 24; (2 0 2), 2θ 32.55, rel. 100; (2 2 0), 2θ 37.56, rel. 33; (0 0 4), 2θ 38.18, rel. 16; (2 2 4), 2θ 54.63, rel. 22; (4 2 2), 2θ 64.63, rel. 25

Cell and atoms:
Unit cell a=6.7739 b=6.7739 c=9.4285 alpha=90.00 beta=90.00 gamma=90.00
Space group I4mm (No. 107)
One atom of each set of equivalent atoms:
Y1 0.0000 0.5000 0.0000 [4 per cell]
Tm1 0.0000 0.0000 0.9997 [2 per cell]
Sc1 0.0000 0.0000 0.5002 [2 per cell]
Sc2 0.2498 0.2498 0.2499 [8 per cell]

Theoretical PXRD pattern
Compound: Ce2Ni5Ge3H2
Radiation: Cu Kα (λ = 1.5418 Å)
Structure: a DFT-relaxed cell (PBE, Alexandria)

Largest 6 diffraction maxima, by angle, 10° ≤ 2θ ≤ 80°:
(1 0 5), 2θ 31.13, rel. 38; (1 1 0), 2θ 32.19, rel. 24; (1 1 2), 2θ 33.33, rel. 33; (1 0 7), 2θ 37.68, rel. 42; (1 1 6), 2θ 41.45, rel. 100; (2 0 0), 2θ 46.16, rel. 63

Cell and atoms:
Unit cell a=3.9330 b=3.9330 c=21.0275 alpha=90.00 beta=90.00 gamma=90.00
Space group I4/mmm (No. 139)
One atom of each set of equivalent atoms:
Ce1 0.0000 0.0000 0.1970 [4 per cell]
Ni1 0.0000 0.0000 0.0000 [2 per cell]
Ni2 0.0000 0.5000 0.0785 [8 per cell]
Ge1 0.0000 0.0000 0.3499 [4 per cell]
Ge2 0.0000 0.0000 0.5000 [2 per cell]
H1 0.0000 0.0000 0.0780 [4 per cell]

Theoretical PXRD pattern
Compound: K2Hg3Cl8
Radiation: Cu Kα (λ = 1.5418 Å)
Structure: a DFT-relaxed cell (PBE, Alexandria)

Largest 6 diffraction maxima, by angle, 10° ≤ 2θ ≤ 80°:
(2 0 0), 2θ 12.46, rel. 100; (1 1 1), 2θ 20.38, rel. 31; (3 1 -1), 2θ 20.76, rel. 29; (2 2 -1), 2θ 24.12, rel. 64; (0 0 2), 2θ 29.28, rel. 33; (4 2 -1), 2θ 30.18, rel. 51

Cell and atoms:
Unit cell a=15.5615 b=9.3703 c=6.6768 alpha=90.00 beta=114.06 gamma=90.00
Space group C2/m (No. 12)
One atom of each set of equivalent atoms:
K1 0.2200 0.0000 0.1299 [4 per cell]
Hg1 0.0000 0.2072 0.5000 [4 per cell]
Hg2 0.0000 0.5000 0.0000 [2 per cell]
Cl1 0.1013 0.0000 0.4153 [4 per cell]
Cl2 0.1138 0.5000 0.3651 [4 per cell]
Cl3 0.1153 0.2780 0.8653 [8 per cell]

Theoretical PXRD pattern
Compound: EuPaO4
Radiation: Cu Kα (λ = 1.5418 Å)
Structure: a DFT-relaxed cell (PBE, Alexandria)

Largest 6 diffraction maxima, by angle, 10° ≤ 2θ ≤ 80°:
(1 0 1), 2θ 28.34, rel. 100; (1 1 0), 2θ 33.04, rel. 23; (1 1 2), 2θ 46.98, rel. 34; (2 0 0), 2θ 47.43, rel. 17; (1 0 3), 2θ 55.39, rel. 16; (2 1 1), 2θ 56.18, rel. 30

Cell and atoms:
Unit cell a=3.8336 b=3.8336 c=5.5200 alpha=90.00 beta=90.00 gamma=90.00
Space group P4/mmm (No. 123)
One atom of each set of equivalent atoms:
Eu1 0.0000 0.0000 0.0000 [1 per cell]
Pa1 0.5000 0.5000 0.5000 [1 per cell]
O1 0.0000 0.5000 0.2671 [4 per cell]